Diffraction record for MgSnGe2O6. The X-ray powder pattern is simulated, not measured: it uses DFT lattice parameters and positions (PBE) and Cu Kα (weighted mean of Kα1 and Kα2).
Peak positions follow from Bragg's law for the DFT cell and can differ from measured ones.

Crystal structure
Cell: 10.5098 10.2118 5.4742 Å, 90.00 103.68 90.00°
Fractional coordinates of all 40 atoms:
1 Mg 0.2249 0.0258 0.2764
2 Mg 0.2249 0.4742 0.7764
3 Mg 0.7751 0.5258 0.2236
4 Mg 0.7751 0.9742 0.7236
5 Sn 0.2620 0.6247 0.2892
6 Sn 0.2620 0.8753 0.7892
7 Sn 0.7380 0.1247 0.2108
8 Sn 0.7380 0.3753 0.7108
9 Ge 0.0546 0.1592 0.7228
10 Ge 0.0546 0.3408 0.2228
11 Ge 0.4686 0.1512 0.7432
12 Ge 0.4686 0.3488 0.2432
13 Ge 0.5314 0.6512 0.7568
14 Ge 0.5314 0.8488 0.2568
15 Ge 0.9454 0.6592 0.7772
16 Ge 0.9454 0.8408 0.2772
17 O 0.0992 0.1932 0.4208
18 O 0.0992 0.3068 0.9208
19 O 0.1093 0.6164 0.8523
20 O 0.1093 0.8836 0.3523
21 O 0.1519 0.0385 0.9056
22 O 0.1519 0.4615 0.4056
23 O 0.3429 0.0404 0.6192
24 O 0.3429 0.4596 0.1192
25 O 0.3750 0.5805 0.6801
26 O 0.3750 0.9195 0.1801
27 O 0.4441 0.2106 0.0379
28 O 0.4441 0.2894 0.5379
29 O 0.5559 0.7106 0.4621
30 O 0.5559 0.7894 0.9621
31 O 0.6250 0.0805 0.8199
32 O 0.6250 0.4195 0.3199
33 O 0.6571 0.5404 0.8808
34 O 0.6571 0.9596 0.3808
35 O 0.8481 0.5385 0.5944
36 O 0.8481 0.9615 0.0944
37 O 0.8907 0.1164 0.6477
38 O 0.8907 0.3836 0.1477
39 O 0.9008 0.6932 0.0792
40 O 0.9008 0.8068 0.5792

The 12 most intense peaks (2θ from 10° to 90°), sorted by position:
- 12.26 deg, rel. 14
- 19.00 deg, rel. 31
- 24.66 deg, rel. 20
- 27.44 deg, rel. 100
- 27.62 deg, rel. 63
- 31.31 deg, rel. 32
- 32.21 deg, rel. 55
- 33.70 deg, rel. 32
- 35.15 deg, rel. 25
- 49.49 deg, rel. 15
- 51.52 deg, rel. 14
- 53.64 deg, rel. 15

Diffraction record for MgSnGe2O6. The X-ray powder pattern is simulated, not measured: it uses DFT lattice parameters and positions (PBE) and Cu Kα (weighted mean of Kα1 and Kα2).
Peak positions follow from Bragg's law for the DFT cell and can differ from measured ones.

Crystal structure
Cell: 7.4072 7.4072 5.5794 Å, 101.66 101.66 88.32°
Fractional coordinates of all 20 atoms:
1 Mg 0.2421 0.7579 0.7500
2 Mg 0.7579 0.2421 0.2500
3 Sn 0.3758 0.6242 0.2500
4 Sn 0.6242 0.3758 0.7500
5 Ge 0.1106 0.2950 0.7502
6 Ge 0.2950 0.1106 0.2502
7 Ge 0.7050 0.8894 0.7498
8 Ge 0.8894 0.7050 0.2498
9 O 0.1225 0.6894 0.3946
10 O 0.1243 0.2053 0.0316
11 O 0.2053 0.1243 0.5316
12 O 0.2195 0.5107 0.8357
13 O 0.3106 0.8775 0.1054
14 O 0.4893 0.7805 0.6643
15 O 0.5107 0.2195 0.3357
16 O 0.6894 0.1225 0.8946
17 O 0.7805 0.4893 0.1643
18 O 0.7947 0.8757 0.4684
19 O 0.8757 0.7947 0.9684
20 O 0.8775 0.3106 0.6054

The 12 most intense peaks (2θ from 10° to 90°), sorted by position:
- 18.52 deg, rel. 29
- 22.53 deg, rel. 16
- 24.54 deg, rel. 21
- 26.79 deg, rel. 100
- 27.63 deg, rel. 60
- 30.80 deg, rel. 32
- 32.48 deg, rel. 49
- 33.47 deg, rel. 42
- 49.04 deg, rel. 18
- 50.68 deg, rel. 18
- 52.41 deg, rel. 21
- 59.27 deg, rel. 15

Diffraction record for MgGePd2. The X-ray powder pattern is simulated, not measured: it uses DFT lattice parameters and positions (PBE) and Cu Kα (weighted mean of Kα1 and Kα2).
Peak positions follow from Bragg's law for the DFT cell and can differ from measured ones.

Crystal structure
Cell: 4.4621 4.4621 4.4621 Å, 60.00 60.00 60.00°
Fractional coordinates of all 4 atoms:
1 Mg 0.0000 0.0000 0.0000
2 Ge 0.5000 0.5000 0.5000
3 Pd 0.2500 0.2500 0.2500
4 Pd 0.7500 0.7500 0.7500

The 11 most intense peaks (2θ from 10° to 90°), sorted by position:
- 24.43 deg, rel. 6
- 28.28 deg, rel. 18
- 40.43 deg, rel. 100
- 47.80 deg, rel. 3
- 50.07 deg, rel. 5
- 58.51 deg, rel. 16
- 64.35 deg, rel. 1
- 66.23 deg, rel. 6
- 73.52 deg, rel. 33
- 78.81 deg, rel. 1
- 87.43 deg, rel. 11

Diffraction record for Pm2MgGe. The X-ray powder pattern is simulated, not measured: it uses DFT lattice parameters and positions (PBE) and Cu Kα (weighted mean of Kα1 and Kα2).
Peak positions follow from Bragg's law for the DFT cell and can differ from measured ones.

Crystal structure
Cell: 5.2648 5.2648 5.2648 Å, 60.00 60.00 60.00°
Fractional coordinates of all 4 atoms:
1 Pm 0.2500 0.2500 0.2500
2 Pm 0.7500 0.7500 0.7500
3 Mg 0.0000 0.0000 0.0000
4 Ge 0.5000 0.5000 0.5000

The 12 most intense peaks (2θ from 10° to 90°), sorted by position:
- 20.66 deg, rel. 4
- 23.90 deg, rel. 29
- 34.06 deg, rel. 100
- 40.17 deg, rel. 2
- 42.04 deg, rel. 9
- 48.93 deg, rel. 18
- 55.17 deg, rel. 12
- 60.96 deg, rel. 37
- 71.71 deg, rel. 11
- 76.82 deg, rel. 6
- 81.82 deg, rel. 16
- 86.76 deg, rel. 4

Diffraction record for Pr2MgGe2. The X-ray powder pattern is simulated, not measured: it uses DFT lattice parameters and positions (PBE) and Cu Kα (weighted mean of Kα1 and Kα2).
Peak positions follow from Bragg's law for the DFT cell and can differ from measured ones.

Crystal structure
Cell: 7.5323 7.5323 4.4397 Å, 90.00 90.00 90.00°
Fractional coordinates of all 10 atoms:
1 Pr 0.1788 0.3212 0.0000
2 Pr 0.3212 0.8212 0.0000
3 Pr 0.6788 0.1788 0.0000
4 Pr 0.8212 0.6788 0.0000
5 Mg 0.0000 0.0000 0.5000
6 Mg 0.5000 0.5000 0.5000
7 Ge 0.1205 0.6205 0.5000
8 Ge 0.3795 0.1205 0.5000
9 Ge 0.6205 0.8795 0.5000
10 Ge 0.8795 0.3795 0.5000

The 12 most intense peaks (2θ from 10° to 90°), sorted by position:
- 16.64 deg, rel. 17
- 23.62 deg, rel. 13
- 26.46 deg, rel. 9
- 31.14 deg, rel. 29
- 33.39 deg, rel. 100
- 37.77 deg, rel. 18
- 40.64 deg, rel. 17
- 49.92 deg, rel. 12
- 54.30 deg, rel. 15
- 56.68 deg, rel. 11
- 66.26 deg, rel. 10
- 69.36 deg, rel. 12

Diffraction record for Pr4Mg5Ge6. The X-ray powder pattern is simulated, not measured: it uses DFT lattice parameters and positions (PBE) and Cu Kα (weighted mean of Kα1 and Kα2).
Peak positions follow from Bragg's law for the DFT cell and can differ from measured ones.

Crystal structure
Cell: 10.3210 10.3210 16.0726 Å, 90.00 90.00 154.90°
Fractional coordinates of all 30 atoms:
1 Pr 0.0134 0.9866 0.5000
2 Pr 0.0334 0.9666 0.7629
3 Pr 0.1646 0.8354 0.3012
4 Pr 0.1748 0.8252 0.9415
5 Pr 0.8252 0.1748 0.4415
6 Pr 0.8354 0.1646 0.8012
7 Pr 0.9666 0.0334 0.2629
8 Pr 0.9866 0.0134 0.0000
9 Mg 0.1548 0.8452 0.6220
10 Mg 0.3029 0.6971 0.6186
11 Mg 0.3399 0.6601 0.2659
12 Mg 0.3499 0.6501 0.9777
13 Mg 0.4420 0.5580 0.6682
14 Mg 0.5580 0.4420 0.1682
15 Mg 0.6501 0.3499 0.4777
16 Mg 0.6601 0.3399 0.7659
17 Mg 0.6971 0.3029 0.1186
18 Mg 0.8452 0.1548 0.1220
19 Ge 0.1136 0.8864 0.1177
20 Ge 0.2260 0.7740 0.4775
21 Ge 0.2322 0.7678 0.7642
22 Ge 0.4279 0.5721 0.1255
23 Ge 0.4329 0.5671 0.4003
24 Ge 0.4446 0.5554 0.8496
25 Ge 0.5554 0.4446 0.3496
26 Ge 0.5671 0.4329 0.9003
27 Ge 0.5721 0.4279 0.6255
28 Ge 0.7678 0.2322 0.2642
29 Ge 0.7740 0.2260 0.9775
30 Ge 0.8864 0.1136 0.6177

The 12 most intense peaks (2θ from 10° to 90°), sorted by position:
- 11.01 deg, rel. 26
- 20.28 deg, rel. 27
- 28.41 deg, rel. 30
- 29.17 deg, rel. 33
- 29.81 deg, rel. 40
- 30.19 deg, rel. 66
- 30.33 deg, rel. 38
- 32.76 deg, rel. 27
- 34.28 deg, rel. 100
- 37.43 deg, rel. 23
- 40.22 deg, rel. 60
- 48.26 deg, rel. 25